This entry pairs a crystal structure of PrSbRh2 with its calculated XRD peak list. Radiation: Cu Kα, 1.54184 Å. Structure: a crystal structure in Alexandria, relaxed with GGA-PBE.
No peak broadening, texture or thermal motion is included.

Top 8 peaks for 2θ from 15° to 90°, by intensity:
| Position (°2θ) | intensity | h k l |
| --- | --- | --- |
| 34.03 | 100 | 1 1 2 |
| 37.44 | 80 | 2 2 1 |
| 37.80 | 57 | 3 0 1 |
| 34.30 | 54 | 2 2 0 |
| 30.09 | 40 | 2 1 1 |
| 40.74 | 38 | 1 2 2 |
| 42.70 | 35 | 1 3 1 |
| 38.98 | 28 | 0 2 2 |

Cell and atoms:
Cell lengths 7.7535, 7.0799, 6.1007 Å; angles 90.00, 90.00, 90.00 degrees
Positions (direct):
1 Pr 0.0296 0.2500 0.1616
2 Pr 0.4704 0.7500 0.6616
3 Pr 0.5296 0.2500 0.3384
4 Pr 0.9704 0.7500 0.8384
5 Sb 0.1186 0.7500 0.3362
6 Sb 0.3814 0.2500 0.8362
7 Sb 0.6186 0.7500 0.1638
8 Sb 0.8814 0.2500 0.6638
9 Rh 0.1739 0.0495 0.5835
10 Rh 0.1739 0.4505 0.5835
11 Rh 0.3261 0.5495 0.0835
12 Rh 0.3261 0.9505 0.0835
13 Rh 0.6739 0.0495 0.9165
14 Rh 0.6739 0.4505 0.9165
15 Rh 0.8261 0.5495 0.4165
16 Rh 0.8261 0.9505 0.4165